This entry pairs a crystal structure of LuZnPt with its calculated PXRD pattern. Radiation: Cu Kα (λ = 1.5418 Å). Structure: the GGA-PBE geometry in the Materials Project.
Kinematic intensities with the Lorentz-polarization factor, no thermal factor.

Largest 10 diffraction maxima, sorted by position, 10 to 90 degrees two-theta:
Position (°2θ), d_spacing, I/Imax
25.8, 3.454, 23
27.4, 3.252, 24
33.7, 2.662, 40
35.9, 2.502, 100
36.1, 2.489, 19
40.0, 2.253, 31
42.3, 2.138, 26
43.3, 2.089, 35
46.1, 1.971, 25
65.1, 1.433, 18

Crystal structure
```
LuZnPt
1.0
6.786 0.000 0.000
0.000 4.178 0.000
0.000 0.000 8.027
Lu Zn Pt
4 4 4
Cartesian
0.212 1.044 1.463
3.181 3.133 5.477
3.605 1.044 2.550
6.574 3.133 6.564
0.979 1.044 4.514
2.414 3.133 0.500
4.371 1.044 7.526
5.807 3.133 3.513
1.662 3.133 3.032
1.731 1.044 7.046
5.055 3.133 0.981
5.124 1.044 4.995
```

This entry pairs a crystal structure of TbTe3 with its calculated PXRD pattern. Radiation: Cu Kα (λ = 1.5418 Å). Structure: the GGA-PBE geometry in the Materials Project.
Kinematic intensities with the Lorentz-polarization factor, no thermal factor.

Largest 10 diffraction maxima, sorted by position, 10 to 90 degrees two-theta:
Position (°2θ), d_spacing, I/Imax
27.4, 3.257, 42
29.2, 3.058, 21
30.8, 2.903, 100
33.8, 2.651, 55
34.4, 2.608, 17
37.9, 2.373, 24
41.5, 2.178, 55
50.4, 1.810, 31
60.1, 1.539, 25
69.0, 1.360, 19

Crystal structure
```
TbTe3
1.0
2.177 -13.029 0.000
2.177 13.029 0.000
0.000 0.000 4.356
Tb Te
2 6
Cartesian
2.177 8.611 3.267
2.177 -8.611 1.089
2.177 11.093 1.089
2.177 5.375 3.267
2.177 1.938 1.089
2.177 -1.938 3.267
2.177 -5.375 1.089
2.177 -11.093 3.267
```

This entry pairs a crystal structure of In2Ag with its calculated PXRD pattern. Radiation: Cu Kα (λ = 1.5418 Å). Structure: the GGA-PBE geometry in the Materials Project.
Kinematic intensities with the Lorentz-polarization factor, no thermal factor.

Largest 10 diffraction maxima, sorted by position, 10 to 90 degrees two-theta:
Position (°2θ), d_spacing, I/Imax
32.6, 2.743, 100
35.7, 2.516, 42
36.6, 2.454, 12
40.3, 2.239, 34
41.1, 2.195, 47
55.6, 1.653, 21
62.2, 1.493, 18
65.3, 1.428, 22
75.5, 1.259, 14
78.5, 1.218, 13

Crystal structure
```
In2Ag
1.0
-3.470 3.470 2.930
3.470 -3.470 2.930
3.470 3.470 -2.930
In Ag
4 2
Cartesian
4.549 1.079 0.000
1.079 2.391 0.000
2.391 1.079 2.930
-1.079 2.391 2.930
0.000 0.000 1.465
0.000 0.000 4.395
```

This entry pairs a crystal structure of Li4NbTe3O12 with its calculated PXRD pattern. Radiation: Cu Kα (λ = 1.5418 Å). Structure: the GGA-PBE geometry in the Materials Project.
Kinematic intensities with the Lorentz-polarization factor, no thermal factor.

Largest 10 diffraction maxima, sorted by position, 10 to 90 degrees two-theta:
Position (°2θ), d_spacing, I/Imax
23.1, 3.844, 100
32.0, 2.799, 41
33.9, 2.644, 26
41.4, 2.181, 10
47.3, 1.922, 18
51.9, 1.761, 19
52.1, 1.757, 9
54.5, 1.682, 8
54.6, 1.680, 8
59.4, 1.556, 10

Crystal structure
```
Li4NbTe3O12
1.0
5.285 0.000 0.000
0.004 5.620 0.000
0.027 0.632 7.688
Li Nb Te O
4 1 3 12
Cartesian
0.000 0.000 0.000
0.023 0.551 4.068
2.639 3.058 0.158
2.681 3.095 3.895
2.671 0.888 6.082
0.024 3.413 2.239
0.047 3.665 6.076
2.653 0.602 2.232
0.688 3.386 0.281
1.020 5.589 5.673
1.103 1.664 2.864
1.737 2.699 5.647
1.768 4.599 2.831
1.952 0.512 0.396
3.342 0.873 4.144
3.469 2.351 1.813
3.656 4.934 6.657
4.309 2.038 6.628
4.309 5.308 1.761
4.623 3.647 4.201
```

This entry pairs a crystal structure of K3Hg with its calculated PXRD pattern. Radiation: Cu Kα (λ = 1.5418 Å). Structure: the GGA-PBE geometry in the Materials Project.
Kinematic intensities with the Lorentz-polarization factor, no thermal factor.

Largest 10 diffraction maxima, sorted by position, 10 to 90 degrees two-theta:
Position (°2θ), d_spacing, I/Imax
14.9, 5.947, 20
16.8, 5.274, 63
21.4, 4.161, 19
26.1, 3.409, 100
27.1, 3.288, 21
30.1, 2.973, 17
30.4, 2.942, 34
34.9, 2.569, 23
43.3, 2.091, 25
51.5, 1.776, 30

Crystal structure
```
K3Hg
1.0
-2.942 2.942 5.947
2.942 -2.942 5.947
2.942 2.942 -5.947
K Hg
3 1
Cartesian
0.000 0.000 0.000
2.942 0.000 2.973
0.000 2.942 2.973
0.000 0.000 5.947
```

This entry pairs a crystal structure of Sr3Ga4O9 with its calculated PXRD pattern. Radiation: Cu Kα (λ = 1.5418 Å). Structure: the GGA-PBE geometry in the Materials Project.
Kinematic intensities with the Lorentz-polarization factor, no thermal factor.

Largest 10 diffraction maxima, sorted by position, 10 to 90 degrees two-theta:
Position (°2θ), d_spacing, I/Imax
14.1, 6.294, 44
27.7, 3.218, 49
28.6, 3.126, 100
29.3, 3.051, 47
29.6, 3.019, 71
29.8, 2.999, 88
30.5, 2.934, 84
32.5, 2.754, 63
33.6, 2.664, 49
38.8, 2.322, 48

Crystal structure
```
Sr3Ga4O9
1.0
6.825 0.000 0.000
2.191 7.836 0.000
2.951 0.078 9.382
Sr Ga O
6 8 18
Cartesian
1.069 0.425 1.775
3.030 4.465 1.655
3.952 1.704 4.308
8.015 6.209 5.074
8.937 3.448 7.727
10.897 7.488 7.607
4.660 5.891 4.155
5.662 4.385 6.890
5.406 1.409 7.515
7.475 6.388 8.620
4.491 1.525 0.761
6.561 6.504 1.867
6.304 3.529 2.492
7.306 2.023 5.226
3.028 6.419 3.527
4.475 2.997 7.193
4.964 5.850 5.989
4.336 0.197 8.425
3.116 1.914 1.898
6.134 5.071 8.565
4.801 4.104 3.470
4.880 6.295 1.076
6.094 7.041 3.618
5.873 0.872 5.764
7.086 1.618 8.305
7.166 3.810 5.912
5.832 2.843 0.817
8.851 5.999 7.484
7.631 7.716 0.956
7.003 2.063 3.392
7.491 4.917 2.189
8.939 1.495 5.855
```

This entry pairs a crystal structure of KCa3 with its calculated PXRD pattern. Radiation: Cu Kα (λ = 1.5418 Å). Structure: the GGA-PBE geometry in the Materials Project.
Kinematic intensities with the Lorentz-polarization factor, no thermal factor.

Largest 10 diffraction maxima, sorted by position, 10 to 90 degrees two-theta:
Position (°2θ), d_spacing, I/Imax
26.9, 3.316, 100
30.7, 2.915, 17
31.4, 2.851, 33
44.4, 2.038, 23
45.0, 2.016, 11
52.3, 1.751, 13
53.2, 1.723, 25
55.4, 1.658, 11
71.4, 1.322, 10
82.6, 1.168, 6

Crystal structure
```
KCa3
1.0
-2.851 2.851 5.830
2.851 -2.851 5.830
2.851 2.851 -5.830
K Ca
1 3
Cartesian
0.000 0.000 0.000
2.851 0.000 2.915
0.000 0.000 5.830
0.000 2.851 2.915
```

This entry pairs a crystal structure of SiO2 with its calculated PXRD pattern. Radiation: Cu Kα (λ = 1.5418 Å). Structure: the GGA-PBE geometry in the Materials Project.
Kinematic intensities with the Lorentz-polarization factor, no thermal factor.

Largest 10 diffraction maxima, sorted by position, 10 to 90 degrees two-theta:
Position (°2θ), d_spacing, I/Imax
12.9, 6.844, 22
17.0, 5.203, 17
19.1, 4.648, 38
20.7, 4.292, 21
22.0, 4.033, 100
23.9, 3.725, 20
26.0, 3.422, 18
27.9, 3.197, 25
29.7, 3.009, 44
29.9, 2.986, 13

Crystal structure
```
SiO2
1.0
0.000 8.879 9.034
6.844 0.000 9.034
6.844 8.879 0.000
Si O
18 36
Cartesian
8.388 6.661 5.596
8.350 8.879 3.326
9.567 8.879 7.428
3.422 4.440 4.517
5.337 8.879 3.326
5.299 6.661 5.596
8.388 11.098 5.596
9.567 8.879 10.640
8.388 6.661 12.472
5.299 11.098 5.596
4.120 8.879 7.428
5.299 6.661 12.472
8.388 11.098 12.472
8.350 8.879 14.742
10.265 13.319 13.551
4.120 8.879 10.640
5.337 8.879 14.742
5.299 11.098 12.472
8.573 7.549 4.239
11.115 8.879 6.921
4.348 3.526 3.541
6.844 8.879 2.704
8.795 7.545 6.900
6.844 6.173 5.747
8.573 10.210 4.239
5.114 7.549 4.239
4.348 5.354 5.493
9.555 8.879 9.034
11.115 8.879 11.147
8.795 10.214 6.900
2.496 5.354 3.541
2.496 3.526 5.493
8.795 7.545 11.168
5.114 10.210 4.239
4.892 7.545 6.900
6.844 11.586 5.747
6.844 6.173 12.321
8.795 10.214 11.168
8.573 7.549 13.829
4.892 10.214 6.900
11.192 14.233 12.575
11.192 12.405 14.527
4.892 7.545 11.168
2.572 8.879 6.921
4.132 8.879 9.034
9.339 12.405 12.575
8.573 10.210 13.829
5.114 7.549 13.829
6.844 11.586 12.321
4.892 10.214 11.168
6.844 8.879 15.364
9.339 14.233 14.527
2.572 8.879 11.147
5.114 10.210 13.829
```

This entry pairs a crystal structure of DyGePd with its calculated PXRD pattern. Radiation: Cu Kα (λ = 1.5418 Å). Structure: the GGA-PBE geometry in the Materials Project.
Kinematic intensities with the Lorentz-polarization factor, no thermal factor.

Largest 10 diffraction maxima, sorted by position, 10 to 90 degrees two-theta:
Position (°2θ), d_spacing, I/Imax
33.3, 2.687, 62
34.4, 2.609, 36
34.6, 2.592, 100
34.7, 2.584, 93
40.5, 2.226, 85
41.1, 2.197, 57
54.7, 1.677, 20
58.8, 1.570, 20
66.0, 1.416, 20
70.7, 1.332, 19

Crystal structure
```
DyGePd
1.0
5.217 -2.197 0.000
5.217 2.197 0.000
-4.710 0.000 5.217
Dy Ge Pd
2 2 2
Cartesian
-0.979 0.000 1.574
6.702 0.000 3.643
-0.658 0.000 4.653
6.381 0.000 0.564
2.073 0.000 1.425
3.650 0.000 3.792
```